(1)
Diffraction record for ErTm2Cu2. The powder diffraction line list is simulated, not measured: it uses a cell relaxed with GGA-PBE and Cu Kα X-rays.

Atomic structure:
```
ErTm2Cu2
1.0
1.831 -6.907 0.000
1.831 6.907 0.000
0.000 0.000 9.163
Er Tm Cu
2 4 4
Cartesian
1.831 5.782 4.582 Er
1.831 -5.782 0.000 Er
1.831 4.217 7.989 Tm
1.831 1.551 6.015 Tm
1.831 -1.551 1.433 Tm
1.831 -4.217 3.407 Tm
1.831 3.035 1.371 Cu
1.831 0.664 2.998 Cu
1.831 -0.664 7.579 Cu
1.831 -3.035 5.953 Cu
```

Main lines, sorted by position (2θ from 15° to 90°):
- 2θ 27.01, I = 17
- 2θ 27.60, I = 24
- 2θ 32.00, I = 100
- 2θ 32.74, I = 84
- 2θ 37.00, I = 39
- 2θ 39.37, I = 15
- 2θ 40.40, I = 20
- 2θ 49.80, I = 19
- 2θ 58.05, I = 17
- 2θ 60.46, I = 17



(2)
Diffraction record for BaV. The powder diffraction line list is simulated, not measured: it uses a cell relaxed with GGA-PBE and Cu Kα X-rays.

Atomic structure:
```
BaV
1.0
10.837 0.000 0.000
0.000 4.613 0.000
0.000 0.000 11.950
Ba V
8 8
Cartesian
1.099 1.153 2.836 Ba
1.628 1.153 6.824 Ba
3.790 3.460 0.849 Ba
4.320 3.460 8.811 Ba
6.517 1.153 3.139 Ba
7.046 1.153 11.100 Ba
9.209 3.460 5.125 Ba
9.738 3.460 9.114 Ba
0.528 3.460 0.249 V
1.304 1.153 11.037 V
4.114 3.460 5.062 V
4.890 1.153 6.224 V
5.946 3.460 5.726 V
6.722 1.153 6.887 V
9.533 3.460 0.913 V
10.309 1.153 11.701 V
```

Main lines, sorted by position (2θ from 15° to 90°):
- 2θ 22.22, I = 21
- 2θ 25.36, I = 100
- 2θ 27.80, I = 86
- 2θ 29.63, I = 96
- 2θ 33.06, I = 21
- 2θ 39.05, I = 28
- 2θ 41.50, I = 19
- 2θ 44.99, I = 36
- 2θ 48.61, I = 36
- 2θ 52.85, I = 32



(3)
Diffraction record for FeC3N3. The powder diffraction line list is simulated, not measured: it uses a cell relaxed with GGA-PBE and Cu Kα X-rays.

Atomic structure:
```
FeC3N3
1.0
0.000 4.949 4.949
4.949 0.000 4.949
4.949 4.949 0.000
Fe C N
2 6 6
Cartesian
0.000 0.000 0.000 Fe
4.949 4.949 4.949 Fe
4.949 4.949 1.892 C
4.949 1.892 4.949 C
8.005 4.949 4.949 C
1.892 4.949 4.949 C
4.949 8.005 4.949 C
4.949 4.949 8.005 C
4.949 4.949 3.063 N
4.949 3.063 4.949 N
6.834 4.949 4.949 N
3.063 4.949 4.949 N
4.949 6.834 4.949 N
4.949 4.949 6.834 N
```

Main lines, sorted by position (2θ from 15° to 90°):
- 2θ 17.93, I = 100
- 2θ 25.46, I = 20
- 2θ 36.31, I = 21
- 2θ 40.77, I = 23
- 2θ 52.29, I = 8
- 2θ 55.73, I = 10
- 2θ 59.03, I = 9
- 2θ 68.35, I = 8
- 2θ 71.31, I = 6
- 2θ 79.93, I = 4



(4)
Diffraction record for Pm4HoTm15. The powder diffraction line list is simulated, not measured: it uses a cell relaxed with GGA-PBE and Cu Kα X-rays.

Atomic structure:
```
Pm4HoTm15
1.0
4.984 0.000 0.000
0.000 4.984 0.000
0.000 0.000 24.844
Pm Ho Tm
4 1 15
Cartesian
0.000 0.000 2.494 Pm
0.000 0.000 7.468 Pm
0.000 0.000 17.376 Pm
0.000 0.000 22.350 Pm
0.000 0.000 12.422 Ho
0.000 2.492 0.000 Tm
0.000 2.492 4.984 Tm
0.000 2.492 9.971 Tm
0.000 2.492 14.873 Tm
0.000 2.492 19.859 Tm
2.492 0.000 0.000 Tm
2.492 0.000 4.984 Tm
2.492 0.000 9.971 Tm
2.492 0.000 14.873 Tm
2.492 0.000 19.859 Tm
2.492 2.492 2.490 Tm
2.492 2.492 7.480 Tm
2.492 2.492 12.422 Tm
2.492 2.492 17.364 Tm
2.492 2.492 22.354 Tm
```

Main lines, sorted by position (2θ from 15° to 90°):
- 2θ 31.11, I = 100
- 2θ 36.04, I = 34
- 2θ 36.16, I = 17
- 2θ 51.95, I = 36
- 2θ 61.75, I = 29
- 2θ 61.90, I = 14
- 2θ 64.88, I = 12
- 2θ 84.81, I = 6
- 2θ 84.94, I = 12
- 2θ 87.54, I = 6



> Which formula does entry 4 have?

Pm4HoTm15



What did the third record say?
Diffraction record for FeC3N3. The powder diffraction line list is simulated, not measured: it uses a cell relaxed with GGA-PBE and Cu Kα X-rays.

Atomic structure:
```
FeC3N3
1.0
0.000 4.949 4.949
4.949 0.000 4.949
4.949 4.949 0.000
Fe C N
2 6 6
Cartesian
0.000 0.000 0.000 Fe
4.949 4.949 4.949 Fe
4.949 4.949 1.892 C
4.949 1.892 4.949 C
8.005 4.949 4.949 C
1.892 4.949 4.949 C
4.949 8.005 4.949 C
4.949 4.949 8.005 C
4.949 4.949 3.063 N
4.949 3.063 4.949 N
6.834 4.949 4.949 N
3.063 4.949 4.949 N
4.949 6.834 4.949 N
4.949 4.949 6.834 N
```

Main lines, sorted by position (2θ from 15° to 90°):
- 2θ 17.93, I = 100
- 2θ 25.46, I = 20
- 2θ 36.31, I = 21
- 2θ 40.77, I = 23
- 2θ 52.29, I = 8
- 2θ 55.73, I = 10
- 2θ 59.03, I = 9
- 2θ 68.35, I = 8
- 2θ 71.31, I = 6
- 2θ 79.93, I = 4



> Number 4 is which compound?

Pm4HoTm15